Starting from the PBE geometry in OQMD, the powder XRD pattern of SmYZn2Ge2 was computed for Cu Kα X-rays.
Intensities are scaled so that the largest is 1000.

Largest 8 diffraction maxima, in order of rising 2θ, 2θ = 15–90°:
two_theta  I_rel  h k l
24.11  70  1 0 0
33.08  1000  1 0 4
42.41  506  1 1 0
45.54  95  0 0 8
54.81  232  2 0 4
63.98  201  1 1 8
71.66  204  2 1 4
77.58  82  3 0 0

Cell and atoms:
Lattice parameters (Å, degrees): 4.2629 4.2629 15.9338 90.00 90.00 120.00
Fractional positions:
Sm1 0.0000 0.0000 0.2500
Sm2 0.0000 0.0000 0.7500
Y1 0.0000 0.0000 0.0000
Y2 0.0000 0.0000 0.5000
Zn1 0.3333 0.6667 0.1445
Zn2 0.3333 0.6667 0.3555
Zn3 0.6667 0.3333 0.6445
Zn4 0.6667 0.3333 0.8555
Ge1 0.3333 0.6667 0.6130
Ge2 0.3333 0.6667 0.8870
Ge3 0.6667 0.3333 0.1130
Ge4 0.6667 0.3333 0.3870